(1)
Calculated X-ray diffraction stick pattern of Ti2Ga2Rh7 for Cu Ka, from a crystal structure in Alexandria, relaxed with PBE.

The 10 most intense peaks (10° ≤ 2θ ≤ 80°), low angle first:
2θ = 26.2°, I = 10; 2θ = 26.5°, I = 7; 2θ = 40.9°, I = 100; 2θ = 41.6°, I = 4; 2θ = 45.0°, I = 18; 2θ = 48.5°, I = 16; 2θ = 49.3°, I = 14; 2θ = 68.3°, I = 11; 2θ = 69.0°, I = 9; 2θ = 71.6°, I = 9

Structure:
Cell: 7.1055 7.1055 7.1055 Å, 149.36 110.96 77.40°
Sites, in units of the cell vectors:
Ti1 0.1713 0.1713 0.0000
Ti2 0.8287 0.8287 0.0000
Ga1 0.2753 0.0000 0.2753
Ga2 0.7247 0.0000 0.7247
Rh1 0.0000 0.5000 0.5000
Rh2 0.0942 0.3417 0.7525
Rh3 0.3240 0.8240 0.5000
Rh4 0.4107 0.6583 0.7525
Rh5 0.5893 0.3417 0.2475
Rh6 0.6760 0.1760 0.5000
Rh7 0.9058 0.6583 0.2475



(2)
Calculated X-ray diffraction stick pattern of Ti7GaRh4 for Cu Ka, from a crystal structure in Alexandria, relaxed with PBE.

The 10 most intense peaks (10° ≤ 2θ ≤ 80°), low angle first:
2θ = 20.7°, I = 31; 2θ = 28.0°, I = 57; 2θ = 29.3°, I = 39; 2θ = 33.6°, I = 53; 2θ = 37.4°, I = 100; 2θ = 41.7°, I = 90; 2θ = 42.5°, I = 48; 2θ = 43.2°, I = 68; 2θ = 51.2°, I = 25; 2θ = 57.9°, I = 37

Structure:
Cell: 6.4864 6.4864 8.8605 Å, 123.91 123.91 43.46°
Sites, in units of the cell vectors:
Ti1 0.0000 0.0000 0.0000
Ti2 0.1678 0.1678 0.6154
Ti3 0.2892 0.2892 0.1318
Ti4 0.4359 0.4359 0.6527
Ti5 0.5641 0.5641 0.3473
Ti6 0.7108 0.7108 0.8682
Ti7 0.8322 0.8322 0.3846
Ga1 0.5000 0.5000 0.0000
Rh1 0.0673 0.0673 0.7803
Rh2 0.2148 0.2148 0.3482
Rh3 0.7852 0.7852 0.6518
Rh4 0.9327 0.9327 0.2197



(3)
Calculated X-ray diffraction stick pattern of Ti3Ga2Rh3 for Cu Ka, from a crystal structure in Alexandria, relaxed with PBE.

The 10 most intense peaks (10° ≤ 2θ ≤ 80°), low angle first:
2θ = 12.4°, I = 7; 2θ = 23.9°, I = 4; 2θ = 25.0°, I = 6; 2θ = 28.9°, I = 11; 2θ = 41.2°, I = 100; 2θ = 41.4°, I = 99; 2θ = 59.9°, I = 32; 2θ = 75.1°, I = 16; 2θ = 75.4°, I = 31; 2θ = 75.5°, I = 16

Structure:
Cell: 7.5936 7.5936 7.5936 Å, 33.38 33.38 33.38°
Sites, in units of the cell vectors:
Ti1 0.0000 0.0000 0.0000
Ti2 0.1266 0.1266 0.1266
Ti3 0.6222 0.6222 0.6222
Ga1 0.3761 0.3761 0.3761
Ga2 0.8726 0.8726 0.8726
Rh1 0.2498 0.2498 0.2498
Rh2 0.4985 0.4985 0.4985
Rh3 0.7490 0.7490 0.7490



(4)
Calculated X-ray diffraction stick pattern of Ti5GaRh6 for Cu Ka, from a crystal structure in Alexandria, relaxed with PBE.

The 10 most intense peaks (10° ≤ 2θ ≤ 80°), low angle first:
2θ = 26.2°, I = 9; 2θ = 30.3°, I = 13; 2θ = 40.5°, I = 100; 2θ = 43.2°, I = 21; 2θ = 43.6°, I = 20; 2θ = 53.9°, I = 10; 2θ = 63.1°, I = 16; 2θ = 71.4°, I = 8; 2θ = 77.3°, I = 14; 2θ = 78.0°, I = 13

Structure:
Cell: 7.3933 7.3933 7.3933 Å, 147.07 125.23 65.41°
Sites, in units of the cell vectors:
Ti1 0.0000 0.0000 0.0000
Ti2 0.1564 0.6564 0.5000
Ti3 0.3292 0.3292 0.0000
Ti4 0.6708 0.6708 0.0000
Ti5 0.8436 0.3436 0.5000
Ga1 0.5000 0.0000 0.5000
Rh1 0.0920 0.8321 0.2599
Rh2 0.2661 0.5000 0.7661
Rh3 0.4278 0.1679 0.2599
Rh4 0.5722 0.8321 0.7401
Rh5 0.7339 0.5000 0.2339
Rh6 0.9080 0.1679 0.7401



(5)
Calculated X-ray diffraction stick pattern of Ti2GaRh8 for Cu Ka, from a crystal structure in Alexandria, relaxed with PBE.

The 10 most intense peaks (10° ≤ 2θ ≤ 80°), low angle first:
2θ = 17.2°, I = 3; 2θ = 22.5°, I = 3; 2θ = 27.3°, I = 5; 2θ = 40.3°, I = 100; 2θ = 40.5°, I = 100; 2θ = 46.8°, I = 65; 2θ = 47.3°, I = 30; 2θ = 68.4°, I = 29; 2θ = 68.8°, I = 19; 2θ = 69.2°, I = 9

Structure:
Cell: 7.1822 7.1822 6.1460 Å, 104.73 104.73 31.35°
Sites, in units of the cell vectors:
Ti1 0.2249 0.2249 0.1598
Ti2 0.7751 0.7751 0.8402
Ga1 0.5000 0.5000 0.5000
Rh1 0.0410 0.0410 0.2268
Rh2 0.1445 0.1445 0.6994
Rh3 0.3213 0.3213 0.5932
Rh4 0.4036 0.4036 0.0360
Rh5 0.5964 0.5964 0.9640
Rh6 0.6787 0.6787 0.4068
Rh7 0.8555 0.8555 0.3006
Rh8 0.9590 0.9590 0.7732



(6)
Calculated X-ray diffraction stick pattern of Ti8Ga2Rh3 for Cu Ka, from a crystal structure in Alexandria, relaxed with PBE.

The 10 most intense peaks (10° ≤ 2θ ≤ 80°), low angle first:
2θ = 12.6°, I = 11; 2θ = 14.4°, I = 13; 2θ = 25.2°, I = 14; 2θ = 25.4°, I = 15; 2θ = 41.8°, I = 100; 2θ = 42.2°, I = 19; 2θ = 60.2°, I = 6; 2θ = 61.0°, I = 12; 2θ = 76.4°, I = 12; 2θ = 76.9°, I = 11

Structure:
Cell: 7.4910 7.4910 4.3168 Å, 90.00 90.00 110.33°
Sites, in units of the cell vectors:
Ti1 0.1143 0.3614 0.5000
Ti2 0.1202 0.8798 0.0000
Ti3 0.3614 0.1143 0.5000
Ti4 0.3699 0.6301 0.0000
Ti5 0.6301 0.3699 0.0000
Ti6 0.6386 0.8857 0.5000
Ti7 0.8798 0.1202 0.0000
Ti8 0.8857 0.6386 0.5000
Ga1 0.2520 0.7480 0.5000
Ga2 0.7480 0.2520 0.5000
Rh1 0.2542 0.2542 0.0000
Rh2 0.5000 0.5000 0.5000
Rh3 0.7458 0.7458 0.0000



(7)
Calculated X-ray diffraction stick pattern of TiGa2Rh for Cu Ka, from a crystal structure in Alexandria, relaxed with PBE.

The 10 most intense peaks (10° ≤ 2θ ≤ 80°), low angle first:
2θ = 21.8°, I = 31; 2θ = 28.1°, I = 36; 2θ = 38.1°, I = 30; 2θ = 42.1°, I = 100; 2θ = 44.3°, I = 66; 2θ = 47.9°, I = 23; 2θ = 58.0°, I = 8; 2θ = 62.7°, I = 28; 2θ = 76.9°, I = 16; 2θ = 78.4°, I = 23

Structure:
Cell: 4.2956 4.2956 12.2510 Å, 90.00 90.00 120.00°
Sites, in units of the cell vectors:
Ti1 0.0000 0.0000 0.0000
Ti2 0.3333 0.6667 0.6667
Ti3 0.6667 0.3333 0.3333
Ga1 0.0000 0.0000 0.5680
Ga2 0.0000 0.0000 0.7802
Ga3 0.3333 0.6667 0.2347
Ga4 0.3333 0.6667 0.4469
Ga5 0.6667 0.3333 0.1135
Ga6 0.6667 0.3333 0.9013
Rh1 0.0000 0.0000 0.2067
Rh2 0.3333 0.6667 0.8734
Rh3 0.6667 0.3333 0.5400



(8)
Calculated X-ray diffraction stick pattern of Tm2TiGa2Rh5 for Cu Ka, from a crystal structure in Alexandria, relaxed with PBE.

The 10 most intense peaks (10° ≤ 2θ ≤ 80°), low angle first:
2θ = 31.6°, I = 16; 2θ = 32.9°, I = 33; 2θ = 36.6°, I = 16; 2θ = 37.7°, I = 60; 2θ = 38.8°, I = 31; 2θ = 38.9°, I = 100; 2θ = 42.2°, I = 33; 2θ = 45.2°, I = 18; 2θ = 53.0°, I = 21; 2θ = 66.8°, I = 22

Structure:
Cell: 9.8369 9.8369 3.4576 Å, 90.00 90.00 90.00°
Sites, in units of the cell vectors:
Tm1 0.1716 0.3284 0.0000
Tm2 0.3284 0.8284 0.0000
Tm3 0.6716 0.1716 0.0000
Tm4 0.8284 0.6716 0.0000
Ti1 0.0000 0.0000 0.0000
Ti2 0.5000 0.5000 0.0000
Ga1 0.1272 0.6272 0.0000
Ga2 0.3728 0.1272 0.0000
Ga3 0.6272 0.8728 0.0000
Ga4 0.8728 0.3728 0.0000
Rh1 0.0000 0.5000 0.5000
Rh2 0.0659 0.8000 0.5000
Rh3 0.2000 0.0659 0.5000
Rh4 0.3000 0.5659 0.5000
Rh5 0.4341 0.3000 0.5000
Rh6 0.5000 0.0000 0.5000
Rh7 0.5659 0.7000 0.5000
Rh8 0.7000 0.4341 0.5000
Rh9 0.8000 0.9341 0.5000
Rh10 0.9341 0.2000 0.5000